This entry pairs a crystal structure of LaDy2Tm3 with its calculated PXRD pattern. Radiation: copper Kα. Structure: the GGA-PBE geometry in Alexandria.

Structural model:
Cell lengths 11.078, 11.078, 11.302 Å; angles 120.46, 120.46, 18.86 degrees
Sites, in units of the cell vectors:
La  0.111  0.111  0.484
La  0.889  0.889  0.516
Dy  0.225  0.225  0.851
Dy  0.442  0.442  0.310
Dy  0.558  0.558  0.690
Dy  0.775  0.775  0.149
Tm  0.111  0.111  0.988
Tm  0.221  0.221  0.344
Tm  0.445  0.445  0.825
Tm  0.555  0.555  0.175
Tm  0.779  0.779  0.656
Tm  0.889  0.889  0.012

Main lines, sorted by position (2θ from 10° to 80°):
2θ (°), I_rel
28.43, 18
31.67, 29
32.64, 100
32.80, 19
43.07, 15
50.51, 16

=====

This entry pairs a crystal structure of MgScGa with its calculated PXRD pattern. Radiation: copper Kα. Structure: the GGA-PBE geometry in Alexandria.

Structural model:
Cell lengths 4.341, 5.564, 6.105 Å; angles 71.26, 69.27, 67.17 degrees
Sites, in units of the cell vectors:
Mg  0.175  0.243  0.407
Mg  0.825  0.757  0.593
Sc  0.439  0.300  0.821
Sc  0.561  0.700  0.179
Ga  0.151  0.850  0.850
Ga  0.849  0.150  0.150

Main lines, sorted by position (2θ from 10° to 80°):
2θ (°), I_rel
15.89, 48
24.36, 47
34.36, 100
36.18, 39
38.26, 82
41.61, 51

=====

This entry pairs a crystal structure of HfTa3Ni2N with its calculated PXRD pattern. Radiation: copper Kα. Structure: the GGA-PBE geometry in Alexandria.

Structural model:
Cell lengths 4.117, 4.245, 12.542 Å; angles 90.00, 90.00, 90.00 degrees
Sites, in units of the cell vectors:
Hf  0.000  0.000  0.000
Hf  0.500  0.500  0.500
Ta  0.000  0.000  0.500
Ta  0.000  0.500  0.180
Ta  0.000  0.500  0.820
Ta  0.500  0.000  0.320
Ta  0.500  0.000  0.680
Ta  0.500  0.500  0.000
Ni  0.000  0.500  0.371
Ni  0.000  0.500  0.629
Ni  0.500  0.000  0.129
Ni  0.500  0.000  0.871
N  0.000  0.500  0.000
N  0.500  0.000  0.500

Main lines, sorted by position (2θ from 10° to 80°):
2θ (°), I_rel
33.52, 100
42.01, 47
42.59, 29
43.98, 26
62.33, 20
79.45, 20

=====

This entry pairs a crystal structure of CaMgBe with its calculated PXRD pattern. Radiation: copper Kα. Structure: the GGA-PBE geometry in Alexandria.

Structural model:
Cell lengths 10.660, 3.898, 7.449 Å; angles 90.00, 104.74, 90.00 degrees
Sites, in units of the cell vectors:
Ca  0.000  0.000  0.000
Ca  0.220  0.000  0.659
Ca  0.500  0.500  0.000
Ca  0.720  0.500  0.659
Mg  0.252  0.500  0.258
Mg  0.483  0.000  0.366
Mg  0.752  0.000  0.258
Mg  0.983  0.500  0.366
Be  0.437  0.500  0.599
Be  0.498  0.000  0.702
Be  0.937  0.000  0.599
Be  0.998  0.500  0.702

Main lines, sorted by position (2θ from 10° to 80°):
2θ (°), I_rel
26.33, 46
28.42, 100
33.36, 36
34.65, 77
34.81, 38
37.45, 24

=====

This entry pairs a crystal structure of CeAs3Pd3 with its calculated PXRD pattern. Radiation: copper Kα. Structure: the GGA-PBE geometry in Alexandria.

Structural model:
Cell lengths 7.860, 7.860, 7.860 Å; angles 54.24, 54.24, 54.24 degrees
Sites, in units of the cell vectors:
Ce  0.167  0.167  0.167
Ce  0.833  0.833  0.833
As  0.090  0.741  0.416
As  0.259  0.584  0.910
As  0.416  0.090  0.741
As  0.584  0.910  0.259
As  0.741  0.416  0.090
As  0.910  0.259  0.584
Pd  0.043  0.376  0.712
Pd  0.288  0.957  0.624
Pd  0.376  0.712  0.043
Pd  0.624  0.288  0.957
Pd  0.712  0.043  0.376
Pd  0.957  0.624  0.288

Main lines, sorted by position (2θ from 10° to 80°):
2θ (°), I_rel
28.26, 88
36.78, 98
43.76, 100
48.10, 44
58.45, 25
61.15, 31

=====

This entry pairs a crystal structure of Pm4Y6Er19 with its calculated PXRD pattern. Radiation: copper Kα. Structure: the GGA-PBE geometry in Alexandria.

Structural model:
Cell lengths 10.761, 10.761, 10.761 Å; angles 109.47, 109.47, 109.47 degrees
Sites, in units of the cell vectors:
Pm  0.000  0.000  0.359
Pm  0.000  0.359  0.000
Pm  0.359  0.000  0.000
Pm  0.641  0.641  0.641
Y  0.130  0.500  0.630
Y  0.370  0.870  0.500
Y  0.500  0.370  0.870
Y  0.500  0.630  0.130
Y  0.630  0.130  0.500
Y  0.870  0.500  0.370
Er  0.000  0.000  0.000
Er  0.000  0.261  0.261
Er  0.000  0.739  0.739
Er  0.016  0.212  0.677
Er  0.196  0.984  0.661
Er  0.212  0.677  0.016
Er  0.261  0.000  0.261
Er  0.261  0.261  0.000
Er  0.323  0.535  0.339
Er  0.339  0.323  0.535
Er  0.465  0.788  0.804
Er  0.535  0.339  0.323
Er  0.661  0.196  0.984
Er  0.677  0.016  0.212
Er  0.739  0.000  0.739
Er  0.739  0.739  0.000
Er  0.788  0.804  0.465
Er  0.804  0.465  0.788
Er  0.984  0.661  0.196

Main lines, sorted by position (2θ from 10° to 80°):
2θ (°), I_rel
26.85, 34
28.74, 60
30.52, 100
35.39, 39
36.89, 57
54.25, 25